The following is a computed powder diffractogram of UCrH3O6. It was derived from DFT lattice parameters and positions (PBE+U), using CuKα.

Structural model:
a b c (Å): 10.1375 7.2536 11.6200
angles (deg): 90.00 93.12 90.00
Space group P2_1 (No. 4)
Asymmetric unit:
U 0.0659 0.0000 0.3183 [2 per cell]
U 0.3428 0.0281 0.8553 [2 per cell]
Cr 0.1092 0.4969 0.4045 [2 per cell]
Cr 0.4447 0.5285 0.8679 [2 per cell]
H 0.1192 0.5077 0.0667 [2 per cell]
H 0.2140 0.2045 0.1773 [2 per cell]
H 0.2277 0.8039 0.1822 [2 per cell]
H 0.2806 0.8255 0.6609 [2 per cell]
H 0.2947 0.2247 0.6570 [2 per cell]
H 0.4915 0.7158 0.4911 [2 per cell]
O 0.0382 0.3087 0.3399 [2 per cell]
O 0.0453 0.6912 0.3424 [2 per cell]
O 0.0519 0.4964 0.8030 [2 per cell]
O 0.0844 0.4958 0.5477 [2 per cell]
O 0.1700 0.0289 0.8828 [2 per cell]
O 0.2059 0.0049 0.4207 [2 per cell]
O 0.2636 0.4914 0.3871 [2 per cell]
O 0.3522 0.7195 0.8873 [2 per cell]
O 0.3535 0.3364 0.8867 [2 per cell]
O 0.4201 0.0285 0.0393 [2 per cell]
O 0.4929 0.5292 0.7396 [2 per cell]
O 0.4949 0.5274 0.2008 [2 per cell]

Principal peaks in the range 2θ = 15–90°, most intense first:
19.5 deg, I 100, (2 0 1)
17.1 deg, I 78, (1 1 1)
17.2 deg, I 74, (1 0 -2)
24.5 deg, I 62, (0 2 0)
22.4 deg, I 52, (2 1 -1)
15.0 deg, I 45, (1 1 0)
25.1 deg, I 31, (1 0 3)
18.0 deg, I 28, (1 0 2)
30.9 deg, I 27, (0 0 4)
27.1 deg, I 27, (1 2 -1)
31.6 deg, I 26, (2 2 1)
18.7 deg, I 25, (2 0 -1)

=====

The following is a computed powder diffractogram of Li3V4O8. It was derived from DFT lattice parameters and positions (PBE+U), using CuKα.

Structural model:
a b c (Å): 5.9230 6.1142 10.2037
angles (deg): 106.29 90.37 118.71
Space group P1 (No. 1)
Asymmetric unit:
Li 0.0000 0.0000 0.0000 [1 per cell]
Li 0.0602 0.1371 0.3608 [1 per cell]
Li 0.2803 0.5688 0.4296 [1 per cell]
Li 0.4967 0.0015 0.5020 [1 per cell]
Li 0.5652 0.1377 0.8559 [1 per cell]
Li 0.7838 0.5676 0.9258 [1 per cell]
V 0.0321 0.0757 0.6816 [1 per cell]
V 0.0316 0.5740 0.1816 [1 per cell]
V 0.0337 0.5727 0.6803 [1 per cell]
V 0.2865 0.5707 0.9297 [1 per cell]
V 0.5286 0.5717 0.1775 [1 per cell]
V 0.5306 0.5743 0.6798 [1 per cell]
V 0.5325 0.0734 0.1812 [1 per cell]
V 0.7785 0.5717 0.4362 [1 per cell]
O 0.1300 0.8102 0.5530 [1 per cell]
O 0.1667 0.3421 0.5654 [1 per cell]
O 0.1665 0.8060 0.0593 [1 per cell]
O 0.1926 0.3680 0.0695 [1 per cell]
O 0.3838 0.7760 0.8003 [1 per cell]
O 0.3971 0.3321 0.8028 [1 per cell]
O 0.4034 0.8061 0.2938 [1 per cell]
O 0.4309 0.3416 0.3040 [1 per cell]
O 0.6464 0.8110 0.0647 [1 per cell]
O 0.6607 0.3409 0.0678 [1 per cell]
O 0.6670 0.8104 0.5542 [1 per cell]
O 0.6771 0.3661 0.5530 [1 per cell]
O 0.8639 0.7663 0.3013 [1 per cell]
O 0.8959 0.8000 0.7929 [1 per cell]
O 0.8974 0.3421 0.3059 [1 per cell]
O 0.9244 0.3284 0.8003 [1 per cell]

Principal peaks in the range 2θ = 15–90°, most intense first:
42.6 deg, I 100, (-2 2 2)
18.3 deg, I 93, (0 0 2)
17.5 deg, I 75, (0 1 0)
18.2 deg, I 52, (1 0 -1)
42.7 deg, I 50, (2 0 2)
62.8 deg, I 29, (4 -2 0)
35.6 deg, I 18, (2 -1 2)
34.3 deg, I 18, (1 1 1)
63.2 deg, I 18, (2 -2 6)
35.2 deg, I 17, (2 -2 0)
35.0 deg, I 16, (1 1 -3)
60.4 deg, I 15, (2 2 -2)

=====

The following is a computed powder diffractogram of Mn2O3F. It was derived from DFT lattice parameters and positions (PBE+U), using CuKα.

Structural model:
a b c (Å): 6.0421 13.4870 6.3300
angles (deg): 90.00 90.00 90.00
Space group Cmmm (No. 65)
Asymmetric unit:
Mn 0.0000 0.0000 0.0000 [2 per cell]
Mn 0.0000 0.2426 0.5000 [4 per cell]
Mn 0.0000 0.5000 0.0000 [2 per cell]
Mn 0.2379 0.0000 0.5000 [4 per cell]
Mn 0.2500 0.2500 0.0000 [4 per cell]
O 0.0000 0.0918 0.5000 [4 per cell]
O 0.0000 0.3446 0.0000 [4 per cell]
O 0.2489 0.0000 0.1946 [8 per cell]
O 0.2500 0.2500 0.3063 [8 per cell]
F 0.0000 0.1412 0.0000 [4 per cell]
F 0.0000 0.4066 0.5000 [4 per cell]

Principal peaks in the range 2θ = 15–90°, most intense first:
26.4 deg, I 100, (0 4 0)
35.5 deg, I 99, (2 2 1)
28.2 deg, I 92, (0 0 2)
52.8 deg, I 61, (2 6 1)
54.8 deg, I 53, (2 2 3)
68.4 deg, I 40, (2 6 3)
54.4 deg, I 18, (0 8 0)
39.0 deg, I 17, (0 4 2)
61.4 deg, I 16, (4 0 0)
40.1 deg, I 16, (2 4 0)
58.3 deg, I 15, (0 0 4)
41.3 deg, I 15, (2 0 2)

=====

The following is a computed powder diffractogram of MnP2O7. It was derived from DFT lattice parameters and positions (PBE+U), using CuKα.

Structural model:
a b c (Å): 7.9852 7.9852 7.9852
angles (deg): 90.00 90.00 90.00
Space group Pa-3 (No. 205)
Asymmetric unit:
Mn 0.0000 0.0000 0.0000 [4 per cell]
P 0.1163 0.6163 0.8837 [8 per cell]
O 0.0000 0.0000 0.5000 [4 per cell]
O 0.0567 0.7032 0.3892 [24 per cell]

Principal peaks in the range 2θ = 15–90°, most intense first:
22.3 deg, I 100, (2 0 0)
27.4 deg, I 90, (2 1 1)
24.9 deg, I 85, (2 1 0)
19.3 deg, I 31, (1 1 1)
31.7 deg, I 30, (2 2 0)
51.2 deg, I 29, (4 0 2)
56.5 deg, I 29, (4 2 2)
60.2 deg, I 26, (5 1 1)
37.3 deg, I 22, (3 1 1)
46.9 deg, I 19, (4 1 0)
52.5 deg, I 15, (4 2 1)
39.1 deg, I 15, (2 2 2)

=====

The following is a computed powder diffractogram of Li4Ti3Co3Ni2O16. It was derived from DFT lattice parameters and positions (PBE+U), using CuKα.

Structural model:
a b c (Å): 9.9571 5.8119 9.6451
angles (deg): 90.00 90.19 90.00
Space group Cm (No. 8)
Asymmetric unit:
Li 0.0000 0.0000 0.0000 [2 per cell]
Li 0.0030 0.0000 0.5032 [2 per cell]
Li 0.1482 0.5000 0.1024 [2 per cell]
Li 0.3152 0.0000 0.6089 [2 per cell]
Ti 0.3168 0.5000 0.7846 [2 per cell]
Ti 0.4017 0.2465 0.2839 [4 per cell]
Co 0.0719 0.2535 0.7855 [4 per cell]
Co 0.1583 0.0000 0.2862 [2 per cell]
Ni 0.1564 0.5000 0.5125 [2 per cell]
Ni 0.3240 0.0000 0.0078 [2 per cell]
O 0.0044 0.5000 0.6771 [2 per cell]
O 0.0754 0.2363 0.3904 [4 per cell]
O 0.1503 0.0000 0.8831 [2 per cell]
O 0.1515 0.5000 0.8939 [2 per cell]
O 0.2243 0.2738 0.6669 [4 per cell]
O 0.2413 0.2213 0.1664 [4 per cell]
O 0.3237 0.0000 0.3988 [2 per cell]
O 0.3300 0.5000 0.3973 [2 per cell]
O 0.4128 0.2596 0.8933 [4 per cell]
O 0.4692 0.0000 0.1670 [2 per cell]
O 0.4922 0.5000 0.6878 [2 per cell]
O 0.4930 0.5000 0.1854 [2 per cell]

Principal peaks in the range 2θ = 15–90°, most intense first:
19.9 deg, I 100, (1 1 1)
18.4 deg, I 92, (0 0 2)
36.3 deg, I 62, (3 1 -2)
45.9 deg, I 56, (2 2 3)
20.1 deg, I 52, (2 0 1)
33.1 deg, I 50, (2 0 -3)
37.0 deg, I 46, (2 2 -1)
25.6 deg, I 43, (2 0 -2)
64.7 deg, I 38, (6 2 0)
36.1 deg, I 38, (0 2 2)
40.5 deg, I 35, (2 2 2)
60.6 deg, I 35, (4 0 -5)

=====

The following is a computed powder diffractogram of Sr4MgMn4O10. It was derived from DFT lattice parameters and positions (PBE+U), using CuKα.

Structural model:
a b c (Å): 7.7955 17.0955 5.5958
angles (deg): 90.00 134.04 90.00
Space group Cm (No. 8)
Asymmetric unit:
Sr 0.0000 0.1458 0.0000 [4 per cell]
Sr 0.0108 0.3508 0.0058 [4 per cell]
Mg 0.1888 0.5000 0.9004 [2 per cell]
Mn 0.0143 0.2427 0.5144 [4 per cell]
Mn 0.1244 0.0000 0.5546 [2 per cell]
Mn 0.3774 0.0000 0.2634 [2 per cell]
O 0.0354 0.0000 0.1161 [2 per cell]
O 0.0353 0.1112 0.5268 [4 per cell]
O 0.0494 0.4069 0.5987 [4 per cell]
O 0.2625 0.2537 0.5114 [4 per cell]
O 0.2646 0.2473 0.0169 [4 per cell]
O 0.4788 0.0000 0.0025 [2 per cell]

Principal peaks in the range 2θ = 15–90°, most intense first:
32.0 deg, I 100, (2 0 -2)
31.1 deg, I 81, (2 4 -1)
30.5 deg, I 62, (0 4 1)
38.7 deg, I 40, (0 6 1)
38.4 deg, I 38, (2 4 0)
46.6 deg, I 29, (4 0 -2)
39.2 deg, I 28, (2 6 -1)
62.1 deg, I 26, (4 6 -1)
45.1 deg, I 26, (0 0 2)
42.3 deg, I 24, (0 8 0)
61.2 deg, I 24, (2 6 1)
55.8 deg, I 18, (2 4 -3)

=====

The following is a computed powder diffractogram of Mn6O5F7. It was derived from DFT lattice parameters and positions (PBE+U), using CuKα.

Structural model:
a b c (Å): 4.7280 5.7247 15.6315
angles (deg): 89.60 88.85 86.65
Space group P1 (No. 1)
Asymmetric unit:
Mn 0.0000 0.0000 0.0000 [1 per cell]
Mn 0.0008 0.9987 0.3362 [1 per cell]
Mn 0.0150 0.2958 0.4969 [1 per cell]
Mn 0.0225 0.9997 0.6668 [1 per cell]
Mn 0.4563 0.4833 0.6754 [1 per cell]
Mn 0.4598 0.8188 0.8293 [1 per cell]
Mn 0.4640 0.8109 0.4963 [1 per cell]
Mn 0.4722 0.4800 0.3328 [1 per cell]
Mn 0.4978 0.4979 0.9962 [1 per cell]
Mn 0.5085 0.8227 0.1530 [1 per cell]
Mn 0.9724 0.2890 0.1705 [1 per cell]
Mn 0.9859 0.2842 0.8380 [1 per cell]
O 0.1952 0.2541 0.7284 [1 per cell]
O 0.2068 0.0324 0.8907 [1 per cell]
O 0.2175 0.0385 0.5530 [1 per cell]
O 0.2204 0.2560 0.3905 [1 per cell]
O 0.2592 0.7667 0.7275 [1 per cell]
O 0.2607 0.7586 0.3885 [1 per cell]
O 0.2820 0.7636 0.0482 [1 per cell]
O 0.7651 0.2507 0.2812 [1 per cell]
O 0.7666 0.2636 0.9456 [1 per cell]
O 0.7942 0.0369 0.1102 [1 per cell]
F 0.2432 0.2702 0.0646 [1 per cell]
F 0.2448 0.0314 0.2264 [1 per cell]
F 0.2502 0.5397 0.5597 [1 per cell]
F 0.2558 0.5320 0.2147 [1 per cell]
F 0.2605 0.5290 0.8909 [1 per cell]
F 0.7125 0.7685 0.9304 [1 per cell]
F 0.7145 0.7713 0.6084 [1 per cell]
F 0.7243 0.5319 0.7834 [1 per cell]
F 0.7238 0.7495 0.2741 [1 per cell]
F 0.7283 0.5371 0.4503 [1 per cell]
F 0.7422 0.0302 0.7689 [1 per cell]
F 0.7419 0.5352 0.1003 [1 per cell]
F 0.7506 0.0346 0.4452 [1 per cell]
F 0.7604 0.2700 0.6083 [1 per cell]

Principal peaks in the range 2θ = 15–90°, most intense first:
23.7 deg, I 100, (1 1 0)
29.6 deg, I 92, (1 1 -3)
29.1 deg, I 88, (1 1 3)
30.4 deg, I 86, (1 -1 3)
25.2 deg, I 82, (1 -1 0)
30.7 deg, I 80, (-1 1 3)
52.9 deg, I 63, (2 0 -6)
51.8 deg, I 44, (2 0 6)
51.5 deg, I 39, (2 2 3)
34.4 deg, I 36, (0 0 6)
35.8 deg, I 36, (0 2 3)
52.2 deg, I 34, (2 2 -3)